Starting from the PBE geometry in Alexandria, the X-ray diffraction stick pattern of Rb3Ag was calculated for a wavelength of 1.5418 Å.

Most intense lines, 10° ≤ 2θ ≤ 80°, most intense first:
Position (°2θ)  Rel. int.  (hkl)
27.61  100.0  1 1 1
23.57  75.7  0 1 2
20.19  69.5  1 0 1
34.52  45.1  0 1 4
30.36  42.4  1 1 2
28.78  27.5  1 0 3
21.52  26.6  0 0 3
45.43  25.3  2 1 2
14.30  22.5  0 0 2
34.67  20.4  1 0 4

```
data_Rb3Ag
_chemical_formula_sum 'Rb3 Ag1'
_symmetry_space_group_name_H-M 'P m m 2'
_symmetry_Int_Tables_number 25
_cell_length_a 4.705
_cell_length_b 4.762
_cell_length_c 12.389
_cell_angle_alpha 90.00
_cell_angle_beta 90.00
_cell_angle_gamma 90.00
loop_
_symmetry_equiv_pos_as_xyz
'x,y,z'
'-x,-y,z'
'-x,y,z'
'x,-y,z'
loop_
_atom_site_label
_atom_site_type_symbol
_atom_site_fract_x
_atom_site_fract_y
_atom_site_fract_z
Rb1 Rb 0.000 0.000 0.000
Rb2 Rb 0.000 0.500 0.346
Rb3 Rb 0.500 0.500 0.682
Ag1 Ag 0.500 0.000 0.462
```

Starting from the PBE geometry in Alexandria, the X-ray diffraction stick pattern of Sm6CoAu2 was calculated for a wavelength of 1.5418 Å.

Most intense lines, 10° ≤ 2θ ≤ 80°, most intense first:
Position (°2θ)  Rel. int.  (hkl)
29.99  100.0  0 2 2
29.75  89.1  2 1 -1
36.03  68.0  0 2 3
29.62  62.2  1 0 -4
29.03  50.8  1 0 2
30.11  50.7  2 1 -3
35.28  48.1  0 0 4
32.07  47.5  1 1 -4
39.01  44.5  1 3 -1
32.57  43.6  1 2 1

```
data_Sm6CoAu2
_chemical_formula_sum 'Sm12 Co2 Au4'
_symmetry_space_group_name_H-M 'P 1 21/c 1'
_symmetry_Int_Tables_number 14
_cell_length_a 6.900
_cell_length_b 7.350
_cell_length_c 12.164
_cell_angle_alpha 90.00
_cell_angle_beta 123.21
_cell_angle_gamma 90.00
loop_
_symmetry_equiv_pos_as_xyz
'x,y,z'
'-x,-y,-z'
'-x,y+1/2,-z+1/2'
'x,-y+1/2,z+1/2'
loop_
_atom_site_label
_atom_site_type_symbol
_atom_site_fract_x
_atom_site_fract_y
_atom_site_fract_z
Sm1 Sm 0.122 0.021 0.251
Sm2 Sm 0.245 0.690 0.063
Sm3 Sm 0.375 0.187 0.058
Co1 Co 0.000 0.000 0.000
Au1 Au 0.304 0.103 0.757
```

Starting from the PBE geometry in Alexandria, the X-ray diffraction stick pattern of CrPb3Au was calculated for a wavelength of 1.5418 Å.

Most intense lines, 10° ≤ 2θ ≤ 80°, most intense first:
Position (°2θ)  Rel. int.  (hkl)
29.83  100.0  1 1 1
34.58  67.2  2 0 0
49.71  48.9  2 2 0
59.06  46.1  3 1 1
61.97  16.9  2 2 2
72.95  8.0  4 0 0
17.09  2.0  1 0 0
24.26  1.1  1 1 0
38.82  0.9  2 1 0

```
data_CrPb3Au
_chemical_formula_sum 'Cr1 Pb3 Au1'
_symmetry_space_group_name_H-M 'P m -3 m'
_symmetry_Int_Tables_number 221
_symmetry_space_group_name_Hall '-P 4 2 3'
_cell_length_a 5.187
_cell_length_b 5.187
_cell_length_c 5.187
_cell_angle_alpha 90.00
_cell_angle_beta 90.00
_cell_angle_gamma 90.00
loop_
_atom_site_label
_atom_site_type_symbol
_atom_site_fract_x
_atom_site_fract_y
_atom_site_fract_z
Cr1 Cr 0.000 0.000 0.000
Pb1 Pb 0.000 0.000 0.500
Au1 Au 0.500 0.500 0.500
```

Starting from the PBE geometry in Alexandria, the X-ray diffraction stick pattern of Nd2SmTm3As6 was calculated for a wavelength of 1.5418 Å.

Most intense lines, 10° ≤ 2θ ≤ 80°, most intense first:
Position (°2θ)  Rel. int.  (hkl)
30.39  100.0  6 0 0
43.52  74.5  5 1 2
71.74  22.4  11 1 2
26.24  22.1  4 0 -2
53.98  19.8  6 2 0
79.86  18.9  10 0 4
63.24  12.1  12 0 0
51.53  11.1  10 0 -2
71.81  10.9  13 1 -2
54.09  6.4  8 0 -4

```
data_Nd2SmTm3As6
_chemical_formula_sum 'Nd4 Sm2 Tm6 As12'
_symmetry_space_group_name_H-M 'C 1 2/m 1'
_symmetry_Int_Tables_number 12
_cell_length_a 18.119
_cell_length_b 4.163
_cell_length_c 8.313
_cell_angle_alpha 90.00
_cell_angle_beta 103.15
_cell_angle_gamma 90.00
loop_
_symmetry_equiv_pos_as_xyz
'x,y,z'
'-x,-y,-z'
'-x,y,-z'
'x,-y,z'
'x+1/2,y+1/2,z'
'-x+1/2,-y+1/2,-z'
'-x+1/2,y+1/2,-z'
'x+1/2,-y+1/2,z'
loop_
_atom_site_label
_atom_site_type_symbol
_atom_site_fract_x
_atom_site_fract_y
_atom_site_fract_z
Nd1 Nd 0.166 0.000 0.333
Sm1 Sm 0.000 0.500 0.000
Tm1 Tm 0.000 0.500 0.500
Tm2 Tm 0.167 0.000 0.834
As1 As 0.003 0.000 0.745
As2 As 0.164 0.500 0.590
As3 As 0.169 0.500 0.075
```

Starting from the PBE geometry in Alexandria, the X-ray diffraction stick pattern of Sc2H2Au was calculated for a wavelength of 1.5418 Å.

Most intense lines, 10° ≤ 2θ ≤ 80°, most intense first:
Position (°2θ)  Rel. int.  (hkl)
35.47  100.0  1 0 3
15.50  60.2  0 0 2
27.49  49.6  1 0 1
37.59  43.1  1 1 0
66.47  31.0  2 1 3
40.88  25.7  1 1 2
48.01  21.3  1 0 5
62.27  17.5  1 1 6
54.21  15.1  2 0 0
75.30  11.5  2 1 5

```
data_Sc2H2Au
_chemical_formula_sum 'Sc4 H4 Au2'
_symmetry_space_group_name_H-M 'I 4/m m m'
_symmetry_Int_Tables_number 139
_symmetry_space_group_name_Hall '-I 4 2'
_cell_length_a 3.384
_cell_length_b 3.384
_cell_length_c 11.437
_cell_angle_alpha 90.00
_cell_angle_beta 90.00
_cell_angle_gamma 90.00
loop_
_atom_site_label
_atom_site_type_symbol
_atom_site_fract_x
_atom_site_fract_y
_atom_site_fract_z
Sc1 Sc 0.000 0.000 0.150
H1 H 0.000 0.500 0.250
Au1 Au 0.000 0.000 0.500
```

Starting from the PBE geometry in Alexandria, the X-ray diffraction stick pattern of Hf7ZnBi2H2 was calculated for a wavelength of 1.5418 Å.

Most intense lines, 10° ≤ 2θ ≤ 80°, most intense first:
Position (°2θ)  Rel. int.  (hkl)
37.00  100.0  0 2 3
42.25  86.8  2 2 -1
35.78  78.9  2 0 2
33.87  56.0  2 0 -3
36.68  48.1  0 0 5
33.04  39.2  0 2 2
72.34  39.2  4 2 1
61.33  35.4  0 4 0
30.45  32.8  0 2 1
58.55  32.6  2 2 -6

```
data_Hf7ZnBi2H2
_chemical_formula_sum 'Hf14 Zn2 Bi4 H4'
_symmetry_space_group_name_H-M 'C 1 2/m 1'
_symmetry_Int_Tables_number 12
_cell_length_a 6.065
_cell_length_b 6.046
_cell_length_c 12.456
_cell_angle_alpha 90.00
_cell_angle_beta 100.40
_cell_angle_gamma 90.00
loop_
_symmetry_equiv_pos_as_xyz
'x,y,z'
'-x,-y,-z'
'-x,y,-z'
'x,-y,z'
'x+1/2,y+1/2,z'
'-x+1/2,-y+1/2,-z'
'-x+1/2,y+1/2,-z'
'x+1/2,-y+1/2,z'
loop_
_atom_site_label
_atom_site_type_symbol
_atom_site_fract_x
_atom_site_fract_y
_atom_site_fract_z
Hf1 Hf 0.000 0.000 0.000
Hf2 Hf 0.145 0.000 0.400
Hf3 Hf 0.183 0.249 0.821
Zn1 Zn 0.000 0.500 0.000
Bi1 Bi 0.137 0.500 0.364
H1 H 0.063 0.000 0.167
```